Structure and theoretical X-ray diffraction stick pattern of Al11Ga (a crystal structure in Alexandria, relaxed with GGA-PBE; Cu Kα).
Intensities are scaled so that the largest is 100.

Structural model:
Unit cell a=9.2463 b=9.2463 c=2.7824 alpha=90.00 beta=90.00 gamma=120.00
Positions (direct):
1 Al 0.0000 0.5000 0.0000
2 Al 0.1754 0.3508 0.5000
3 Al 0.1754 0.8246 0.5000
4 Al 0.3333 0.6667 0.0000
5 Al 0.3508 0.1754 0.5000
6 Al 0.5000 0.0000 0.0000
7 Al 0.5000 0.5000 0.0000
8 Al 0.6492 0.8246 0.5000
9 Al 0.6667 0.3333 0.0000
10 Al 0.8246 0.1754 0.5000
11 Al 0.8246 0.6492 0.5000
12 Ga 0.0000 0.0000 0.0000

Top 12 peaks for 10° ≤ 2θ ≤ 80°, sorted by position:
two_theta, Rel. int., index
11.05, 16.8, 1 0 0
19.20, 10.0, 1 1 0
22.20, 7.0, 2 0 0
29.51, 14.1, 2 1 0
37.73, 38.7, 1 1 1
38.96, 100.0, 2 2 0
39.44, 62.6, 2 0 1
47.19, 20.9, 3 0 1
56.64, 20.5, 4 0 1
62.80, 16.1, 4 1 1
70.57, 15.8, 6 0 0
70.89, 20.3, 4 2 1